No. 1
Simulated XRD peak list
Compound: LaZrTl
Radiation: λ = 1.5418 Å (Cu Kα)
Structure: a cell relaxed with PBE
Kinematic intensities with the Lorentz-polarization factor, no thermal factor.

Largest 8 diffraction maxima, in order of falling intensity, 15° ≤ 2θ ≤ 90°:
| hkl | 2θ/deg | intensity |
| --- | --- | --- |
| 1 1 0 | 33.88 | 100 |
| 0 1 3 | 31.31 | 70 |
| 1 0 3 | 34.25 | 55 |
| 0 1 4 | 37.21 | 36 |
| 0 1 2 | 26.39 | 31 |
| 1 0 2 | 29.78 | 25 |
| 1 2 3 | 57.15 | 25 |
| 0 2 0 | 44.28 | 24 |

Atomic structure:
Cell: 3.468 4.091 11.971 Å, 90.00 90.00 90.00°
Space group Pmmn (No. 59, origin choice 2)
Inequivalent atoms, fractional coordinates:
La (0.250, 0.250, 0.119)
Zr (0.250, 0.250, 0.429)
Tl (0.250, 0.250, 0.703)

***

No. 2
Simulated XRD peak list
Compound: La2ZrTl
Radiation: λ = 1.5418 Å (Cu Kα)
Structure: a cell relaxed with PBE
Kinematic intensities with the Lorentz-polarization factor, no thermal factor.

Largest 8 diffraction maxima, in order of falling intensity, 15° ≤ 2θ ≤ 90°:
| hkl | 2θ/deg | intensity |
| --- | --- | --- |
| 2 2 0 | 32.06 | 100 |
| 4 2 2 | 57.16 | 39 |
| 4 0 0 | 45.98 | 18 |
| 6 2 0 | 76.28 | 16 |
| 4 4 0 | 67.06 | 12 |
| 1 1 1 | 19.47 | 7 |
| 3 1 1 | 37.79 | 5 |
| 4 4 4 | 85.14 | 4 |

Atomic structure:
Cell: 7.895 7.895 7.895 Å, 90.00 90.00 90.00°
Space group Fm-3m (No. 225)
Inequivalent atoms, fractional coordinates:
La (0.250, 0.250, 0.250)
Zr (0.000, 0.000, 0.000)
Tl (0.000, 0.000, 0.500)

***

No. 3
Simulated XRD peak list
Compound: La2ZrTl
Radiation: λ = 1.5418 Å (Cu Kα)
Structure: a cell relaxed with PBE
Kinematic intensities with the Lorentz-polarization factor, no thermal factor.

Largest 8 diffraction maxima, in order of falling intensity, 15° ≤ 2θ ≤ 90°:
| hkl | 2θ/deg | intensity |
| --- | --- | --- |
| 1 0 2 | 31.56 | 100 |
| 1 1 0 | 35.71 | 40 |
| 2 1 2 | 61.58 | 35 |
| 0 0 4 | 38.32 | 20 |
| 1 1 4 | 53.39 | 16 |
| 2 0 0 | 51.39 | 14 |
| 2 0 4 | 65.89 | 12 |
| 1 0 5 | 55.31 | 7 |

Atomic structure:
Cell: 3.556 3.556 9.391 Å, 90.00 90.00 90.00°
Space group P4mm (No. 99)
Inequivalent atoms, fractional coordinates:
La (0.000, 0.000, 0.000)
La (0.500, 0.500, 0.306)
Zr (0.500, 0.500, 0.756)
Tl (0.000, 0.000, 0.553)

***

No. 4
Simulated XRD peak list
Compound: La4Tm5
Radiation: λ = 1.5418 Å (Cu Kα)
Structure: a cell relaxed with PBE
Kinematic intensities with the Lorentz-polarization factor, no thermal factor.

Largest 8 diffraction maxima, in order of falling intensity, 15° ≤ 2θ ≤ 90°:
| hkl | 2θ/deg | intensity |
| --- | --- | --- |
| 1 0 3 | 31.54 | 100 |
| 1 3 0 | 32.56 | 96 |
| 0 3 3 | 29.95 | 94 |
| 1 4 5 | 52.06 | 30 |
| 2 3 3 | 58.41 | 29 |
| 0 4 2 | 32.29 | 24 |
| 2 0 0 | 48.90 | 20 |
| 0 1 5 | 34.94 | 19 |

Atomic structure:
Cell: 3.725 12.233 13.132 Å, 90.00 90.00 90.00°
Space group Immm (No. 71)
Inequivalent atoms, fractional coordinates:
La (0.000, 0.143, 0.188)
Tm (0.000, 0.200, 0.500)
Tm (0.000, 0.500, 0.124)
Tm (0.000, 0.500, 0.500)

***

No. 5
Simulated XRD peak list
Compound: LaTm4
Radiation: λ = 1.5418 Å (Cu Kα)
Structure: a cell relaxed with PBE
Kinematic intensities with the Lorentz-polarization factor, no thermal factor.

Largest 8 diffraction maxima, in order of falling intensity, 15° ≤ 2θ ≤ 90°:
| hkl | 2θ/deg | intensity |
| --- | --- | --- |
| 1 1 0 | 30.91 | 100 |
| 1 0 5 | 35.72 | 34 |
| 2 1 5 | 61.20 | 28 |
| 1 2 5 | 51.68 | 24 |
| 0 2 0 | 36.09 | 17 |
| 1 3 0 | 61.69 | 14 |
| 2 2 0 | 64.41 | 12 |
| 2 0 0 | 51.41 | 12 |

Atomic structure:
Cell: 3.556 4.978 17.771 Å, 90.00 90.00 90.00°
Space group Immm (No. 71)
Inequivalent atoms, fractional coordinates:
La (0.000, 0.000, 0.000)
Tm (0.000, 0.000, 0.201)
Tm (0.000, 0.000, 0.396)

***

No. 6
Simulated XRD peak list
Compound: LaTm3
Radiation: λ = 1.5418 Å (Cu Kα)
Structure: a cell relaxed with PBE
Kinematic intensities with the Lorentz-polarization factor, no thermal factor.

Largest 8 diffraction maxima, in order of falling intensity, 15° ≤ 2θ ≤ 90°:
| hkl | 2θ/deg | intensity |
| --- | --- | --- |
| 1 1 1 | 32.59 | 100 |
| 0 1 2 | 32.84 | 47 |
| 0 2 0 | 31.46 | 36 |
| 1 0 1 | 28.45 | 23 |
| 1 2 3 | 60.91 | 22 |
| 1 3 1 | 56.74 | 21 |
| 1 0 3 | 50.72 | 19 |
| 2 1 2 | 61.29 | 16 |

Atomic structure:
Cell: 3.635 5.686 6.216 Å, 90.00 90.00 90.00°
Space group Pmm2 (No. 25)
Inequivalent atoms, fractional coordinates:
La (0.000, 0.000, 0.000)
Tm (0.000, 0.500, 0.658)
Tm (0.500, 0.000, 0.496)
Tm (0.500, 0.500, 0.163)

***

No. 7
Simulated XRD peak list
Compound: La3Tm8
Radiation: λ = 1.5418 Å (Cu Kα)
Structure: a cell relaxed with PBE
Kinematic intensities with the Lorentz-polarization factor, no thermal factor.

Largest 8 diffraction maxima, in order of falling intensity, 15° ≤ 2θ ≤ 90°:
| hkl | 2θ/deg | intensity |
| --- | --- | --- |
| 2 1 1 | 27.48 | 100 |
| 4 -2 3 | 41.64 | 76 |
| 1 2 2 | 30.37 | 75 |
| 1 0 4 | 31.26 | 53 |
| 0 5 4 | 60.25 | 30 |
| 2 2 6 | 58.16 | 28 |
| 1 3 1 | 37.11 | 25 |
| 2 -1 3 | 28.13 | 25 |

Atomic structure:
Cell: 10.2938 10.2938 12.0858 Å, 90.00 90.00 120.00°
Space group R-3 (No. 148, hexagonal axes)
Inequivalent atoms, fractional coordinates:
La (0.0000, 0.5000, 0.0000)
Tm (0.0000, 0.0000, 0.3486)
Tm (0.0050, 0.8107, 0.8893)

***

No. 8
Simulated XRD peak list
Compound: La5Tm2
Radiation: λ = 1.5418 Å (Cu Kα)
Structure: a cell relaxed with PBE
Kinematic intensities with the Lorentz-polarization factor, no thermal factor.

Largest 8 diffraction maxima, in order of falling intensity, 15° ≤ 2θ ≤ 90°:
| hkl | 2θ/deg | intensity |
| --- | --- | --- |
| 3 1 -2 | 30.28 | 100 |
| 1 1 -2 | 29.99 | 83 |
| 4 0 -4 | 30.81 | 75 |
| 1 1 2 | 36.50 | 46 |
| 5 1 -2 | 37.27 | 37 |
| 4 0 0 | 29.56 | 36 |
| 0 0 3 | 31.41 | 31 |
| 7 1 -6 | 54.67 | 26 |

Atomic structure:
Cell: 16.434 3.601 11.618 Å, 90.00 132.66 90.00°
Space group C2/m (No. 12)
Inequivalent atoms, fractional coordinates:
La (0.000, 0.000, 0.000)
La (0.130, 0.500, 0.367)
La (0.162, 0.000, 0.673)
Tm (0.139, 0.500, 0.914)

***

Question: What is the formula in the fourth record?
Answer: La4Tm5